Structure and calculated powder diffraction line list of Dy4GaSbS9 (DFT lattice parameters and positions (GGA-PBE); Cu Kα (λ = 1.5418 Å)).
Kinematic intensities with the Lorentz-polarization factor, no thermal factor.

Largest 12 diffraction maxima, most intense first, 2θ from 10° to 90°:
26.8°, intensity 100
25.3°, intensity 60
50.7°, intensity 50
33.6°, intensity 48
36.4°, intensity 42
27.9°, intensity 31
25.7°, intensity 30
34.3°, intensity 27
37.0°, intensity 24
30.2°, intensity 24
36.8°, intensity 24
45.5°, intensity 24

Cell lengths 13.5348, 9.8859, 9.8859 Å; angles 89.05, 90.00, 90.00 degrees
Positions (direct):
Dy 0.1008 0.1711 0.8289
Dy 0.1037 0.5588 0.3373
Dy 0.1830 0.8830 0.5514
Dy 0.1871 0.8808 0.0998
Dy 0.3129 0.3808 0.5998
Dy 0.3170 0.3830 0.0514
Dy 0.3963 0.0588 0.8373
Dy 0.3992 0.6711 0.3289
Dy 0.6008 0.3289 0.6711
Dy 0.6037 0.8373 0.0588
Dy 0.6830 0.0514 0.3830
Dy 0.6871 0.5998 0.3808
Dy 0.8129 0.0998 0.8808
Dy 0.8170 0.5514 0.8830
Dy 0.8963 0.3373 0.5588
Dy 0.8992 0.8289 0.1711
Ga 0.0913 0.6219 0.8325
Ga 0.4087 0.1219 0.3325
Ga 0.5913 0.3325 0.1219
Ga 0.9087 0.8325 0.6219
Sb 0.1132 0.1787 0.3402
Sb 0.3868 0.6787 0.8402
Sb 0.6132 0.8402 0.6787
Sb 0.8868 0.3402 0.1787
S 0.0000 0.0081 0.0081
S 0.0000 0.6337 0.6337
S 0.0113 0.0167 0.6254
S 0.0684 0.8272 0.3203
S 0.0815 0.3461 0.1559
S 0.0992 0.3451 0.5237
S 0.1909 0.4312 0.8302
S 0.1972 0.8046 0.8271
S 0.2454 0.6182 0.1510
S 0.2485 0.1270 0.0115
S 0.2515 0.6270 0.5115
S 0.2546 0.1182 0.6510
S 0.3028 0.3046 0.3271
S 0.3091 0.9312 0.3302
S 0.4008 0.8451 0.0237
S 0.4185 0.8461 0.6559
S 0.4316 0.3272 0.8203
S 0.4887 0.5167 0.1254
S 0.5000 0.1337 0.1337
S 0.5000 0.5081 0.5081
S 0.5113 0.1254 0.5167
S 0.5684 0.8203 0.3272
S 0.5815 0.6559 0.8461
S 0.5992 0.0237 0.8451
S 0.6909 0.3302 0.9312
S 0.6972 0.3271 0.3046
S 0.7454 0.6510 0.1182
S 0.7485 0.5115 0.6270
S 0.7515 0.0115 0.1270
S 0.7546 0.1510 0.6182
S 0.8028 0.8271 0.8046
S 0.8091 0.8302 0.4312
S 0.9008 0.5237 0.3451
S 0.9185 0.1559 0.3461
S 0.9316 0.3203 0.8272
S 0.9887 0.6254 0.0167


Structure and calculated powder diffraction line list of Dy2ZnGa (DFT lattice parameters and positions (GGA-PBE); Cu Kα (λ = 1.5418 Å)).
Kinematic intensities with the Lorentz-polarization factor, no thermal factor.

Largest 9 diffraction maxima, most intense first, 2θ from 10° to 90°:
35.6°, intensity 100
63.9°, intensity 36
51.2°, intensity 18
24.9°, intensity 17
86.1°, intensity 16
75.3°, intensity 11
57.7°, intensity 7
43.9°, intensity 5
80.7°, intensity 4

Cell lengths 7.1411, 7.1411, 7.1411 Å; angles 90.00, 90.00, 90.00 degrees
Positions (direct):
Dy 0.2500 0.2500 0.2500
Dy 0.2500 0.2500 0.7500
Dy 0.2500 0.7500 0.2500
Dy 0.2500 0.7500 0.7500
Dy 0.7500 0.2500 0.2500
Dy 0.7500 0.2500 0.7500
Dy 0.7500 0.7500 0.2500
Dy 0.7500 0.7500 0.7500
Zn 0.0000 0.0000 0.0000
Zn 0.0000 0.5000 0.5000
Zn 0.5000 0.0000 0.5000
Zn 0.5000 0.5000 0.0000
Ga 0.0000 0.0000 0.5000
Ga 0.0000 0.5000 0.0000
Ga 0.5000 0.0000 0.0000
Ga 0.5000 0.5000 0.5000


Structure and calculated powder diffraction line list of DyZnGa (DFT lattice parameters and positions (GGA-PBE); Cu Kα (λ = 1.5418 Å)).
Kinematic intensities with the Lorentz-polarization factor, no thermal factor.

Largest 12 diffraction maxima, most intense first, 2θ from 10° to 90°:
34.3°, intensity 100
40.9°, intensity 53
54.4°, intensity 27
70.2°, intensity 24
67.2°, intensity 24
23.3°, intensity 19
50.9°, intensity 9
74.4°, intensity 9
85.0°, intensity 7
88.5°, intensity 6
56.7°, intensity 4
47.5°, intensity 3

Cell lengths 4.4176, 4.4176, 7.1748 Å; angles 90.00, 90.00, 120.00 degrees
Positions (direct):
Dy 0.0000 0.0000 0.0000
Dy 0.0000 0.0000 0.5000
Zn 0.3333 0.6667 0.2500
Zn 0.6667 0.3333 0.7500
Ga 0.3333 0.6667 0.7500
Ga 0.6667 0.3333 0.2500


Structure and calculated powder diffraction line list of GdDy (DFT lattice parameters and positions (GGA-PBE); Cu Kα (λ = 1.5418 Å)).
Kinematic intensities with the Lorentz-polarization factor, no thermal factor.

Largest 12 diffraction maxima, most intense first, 2θ from 10° to 90°:
32.9°, intensity 100
31.3°, intensity 25
28.8°, intensity 24
61.1°, intensity 23
56.7°, intensity 21
51.0°, intensity 19
62.0°, intensity 16
43.0°, intensity 16
84.4°, intensity 14
87.3°, intensity 9
79.7°, intensity 8
68.9°, intensity 4

Cell lengths 3.5806, 3.5806, 5.7195 Å; angles 90.00, 90.00, 120.00 degrees
Positions (direct):
Gd 0.0000 0.0000 0.0000
Dy 0.3333 0.6667 0.5000


Structure and calculated powder diffraction line list of GdDyNi2 (DFT lattice parameters and positions (GGA-PBE); Cu Kα (λ = 1.5418 Å)).
Kinematic intensities with the Lorentz-polarization factor, no thermal factor.

Largest 12 diffraction maxima, most intense first, 2θ from 10° to 90°:
33.0°, intensity 100
41.3°, intensity 79
42.7°, intensity 53
35.2°, intensity 46
35.3°, intensity 44
35.6°, intensity 41
30.5°, intensity 39
38.5°, intensity 35
56.4°, intensity 34
28.6°, intensity 33
26.7°, intensity 33
56.5°, intensity 22

Cell lengths 5.4650, 4.2372, 10.6879 Å; angles 90.00, 97.09, 90.00 degrees
Positions (direct):
Gd 0.0000 0.0000 0.0000
Gd 0.1584 0.0000 0.6648
Gd 0.6749 0.5000 0.7592
Dy 0.3129 0.0000 0.3317
Dy 0.5212 0.5000 0.0943
Dy 0.8331 0.5000 0.4246
Ni 0.0375 0.5000 0.1892
Ni 0.2056 0.5000 0.8542
Ni 0.3633 0.5000 0.5204
Ni 0.4706 0.0000 0.9044
Ni 0.6288 0.0000 0.5696
Ni 0.7954 0.0000 0.2375


Structure and calculated powder diffraction line list of GdDyNi2 (DFT lattice parameters and positions (GGA-PBE); Cu Kα (λ = 1.5418 Å)).
Kinematic intensities with the Lorentz-polarization factor, no thermal factor.

Largest 12 diffraction maxima, most intense first, 2θ from 10° to 90°:
33.2°, intensity 100
41.8°, intensity 47
35.6°, intensity 41
27.5°, intensity 38
43.2°, intensity 27
35.0°, intensity 26
56.8°, intensity 24
57.2°, intensity 21
48.6°, intensity 19
41.3°, intensity 17
84.9°, intensity 14
67.0°, intensity 14

Cell lengths 4.1862, 3.7496, 10.2431 Å; angles 90.00, 90.00, 90.00 degrees
Positions (direct):
Gd 0.0000 0.0000 0.0000
Gd 0.0000 0.5000 0.5000
Dy 0.5000 0.0000 0.7215
Dy 0.5000 0.5000 0.2215
Ni 0.0000 0.0000 0.2863
Ni 0.0000 0.5000 0.7863
Ni 0.5000 0.0000 0.4340
Ni 0.5000 0.5000 0.9340


Structure and calculated powder diffraction line list of GdDyRh2 (DFT lattice parameters and positions (GGA-PBE); Cu Kα (λ = 1.5418 Å)).
Kinematic intensities with the Lorentz-polarization factor, no thermal factor.

Largest 8 diffraction maxima, most intense first, 2θ from 10° to 90°:
36.9°, intensity 100
66.5°, intensity 35
53.2°, intensity 17
78.5°, intensity 11
25.9°, intensity 5
60.0°, intensity 2
45.6°, intensity 1
84.3°, intensity 1

Cell lengths 6.8920, 6.8920, 6.8920 Å; angles 90.00, 90.00, 90.00 degrees
Positions (direct):
Gd 0.0000 0.0000 0.0000
Gd 0.0000 0.5000 0.5000
Gd 0.5000 0.0000 0.5000
Gd 0.5000 0.5000 0.0000
Dy 0.0000 0.0000 0.5000
Dy 0.0000 0.5000 0.0000
Dy 0.5000 0.0000 0.0000
Dy 0.5000 0.5000 0.5000
Rh 0.2500 0.2500 0.2500
Rh 0.2500 0.2500 0.7500
Rh 0.2500 0.7500 0.2500
Rh 0.2500 0.7500 0.7500
Rh 0.7500 0.2500 0.2500
Rh 0.7500 0.2500 0.7500
Rh 0.7500 0.7500 0.2500
Rh 0.7500 0.7500 0.7500


Structure and calculated powder diffraction line list of GdDyTl2 (DFT lattice parameters and positions (GGA-PBE); Cu Kα (λ = 1.5418 Å)).
Kinematic intensities with the Lorentz-polarization factor, no thermal factor.

Largest 9 diffraction maxima, most intense first, 2θ from 10° to 90°:
33.2°, intensity 100
59.3°, intensity 39
47.6°, intensity 18
79.3°, intensity 17
69.6°, intensity 12
88.7°, intensity 4
23.3°, intensity 2
53.7°, intensity 1
40.9°, intensity 1

Cell lengths 7.6392, 7.6392, 7.6392 Å; angles 90.00, 90.00, 90.00 degrees
Positions (direct):
Gd 0.0000 0.0000 0.0000
Gd 0.0000 0.5000 0.5000
Gd 0.5000 0.0000 0.5000
Gd 0.5000 0.5000 0.0000
Dy 0.0000 0.0000 0.5000
Dy 0.0000 0.5000 0.0000
Dy 0.5000 0.0000 0.0000
Dy 0.5000 0.5000 0.5000
Tl 0.2500 0.2500 0.2500
Tl 0.2500 0.2500 0.7500
Tl 0.2500 0.7500 0.2500
Tl 0.2500 0.7500 0.7500
Tl 0.7500 0.2500 0.2500
Tl 0.7500 0.2500 0.7500
Tl 0.7500 0.7500 0.2500
Tl 0.7500 0.7500 0.7500


Structure and calculated powder diffraction line list of Dy3Ge5 (DFT lattice parameters and positions (GGA-PBE); Cu Kα (λ = 1.5418 Å)).
Kinematic intensities with the Lorentz-polarization factor, no thermal factor.

Largest 12 diffraction maxima, most intense first, 2θ from 10° to 90°:
33.5°, intensity 100
33.6°, intensity 96
29.2°, intensity 88
39.4°, intensity 87
44.3°, intensity 73
51.5°, intensity 33
60.7°, intensity 21
25.9°, intensity 19
74.5°, intensity 19
60.8°, intensity 18
52.0°, intensity 17
74.7°, intensity 17

Cell lengths 11.0953, 7.4664, 9.1680 Å; angles 83.00, 41.91, 55.10 degrees
Positions (direct):
Dy 0.0000 0.0000 0.0000
Dy 0.2500 0.2500 0.2500
Dy 0.3581 0.6565 0.3067
Dy 0.5713 0.9433 0.5935
Dy 0.6565 0.3581 0.6787
Dy 0.9433 0.5713 0.8919
Ge 0.0236 0.7833 0.3497
Ge 0.1689 0.5042 0.0056
Ge 0.2444 0.9287 0.0811
Ge 0.4067 0.9003 0.4667
Ge 0.4453 0.4453 0.5547
Ge 0.5042 0.1689 0.3213
Ge 0.6953 0.6953 0.8047
Ge 0.7833 0.0236 0.8433
Ge 0.9003 0.4067 0.2264
Ge 0.9287 0.2444 0.7458


Structure and calculated powder diffraction line list of Dy3Ge4 (DFT lattice parameters and positions (GGA-PBE); Cu Kα (λ = 1.5418 Å)).
Kinematic intensities with the Lorentz-polarization factor, no thermal factor.

Largest 12 diffraction maxima, most intense first, 2θ from 10° to 90°:
34.5°, intensity 100
33.5°, intensity 78
30.1°, intensity 42
34.1°, intensity 41
42.2°, intensity 40
44.8°, intensity 34
26.6°, intensity 26
37.7°, intensity 25
25.0°, intensity 24
38.6°, intensity 22
46.5°, intensity 17
75.3°, intensity 16

Cell lengths 4.0487, 5.7201, 14.3049 Å; angles 89.99, 89.97, 69.31 degrees
Positions (direct):
Dy 0.0000 0.0000 0.0000
Dy 0.0052 0.9904 0.6931
Dy 0.2855 0.4301 0.8479
Dy 0.3989 0.2057 0.3454
Dy 0.6796 0.6404 0.4992
Dy 0.6847 0.6395 0.1937
Ge 0.1306 0.7486 0.3463
Ge 0.3402 0.3257 0.0946
Ge 0.3413 0.3179 0.5975
Ge 0.5530 0.8886 0.8467
Ge 0.7090 0.5824 0.9880
Ge 0.7151 0.5732 0.7062
Ge 0.9690 0.0598 0.4869
Ge 0.9750 0.0569 0.2053


Structure and calculated powder diffraction line list of Dy5Ge3 (DFT lattice parameters and positions (GGA-PBE); Cu Kα (λ = 1.5418 Å)).
Kinematic intensities with the Lorentz-polarization factor, no thermal factor.

Largest 12 diffraction maxima, most intense first, 2θ from 10° to 90°:
35.1°, intensity 100
32.1°, intensity 22
36.6°, intensity 22
30.4°, intensity 18
54.1°, intensity 15
51.6°, intensity 13
57.7°, intensity 12
24.2°, intensity 8
57.3°, intensity 8
73.0°, intensity 7
70.3°, intensity 7
56.3°, intensity 7

Cell lengths 8.5092, 8.5092, 6.4045 Å; angles 90.00, 90.00, 120.00 degrees
Positions (direct):
Dy 0.0000 0.2424 0.2500
Dy 0.0000 0.7576 0.7500
Dy 0.2424 0.0000 0.2500
Dy 0.2424 0.2424 0.7500
Dy 0.3333 0.6667 0.0000
Dy 0.3333 0.6667 0.5000
Dy 0.6667 0.3333 0.0000
Dy 0.6667 0.3333 0.5000
Dy 0.7576 0.0000 0.7500
Dy 0.7576 0.7576 0.2500
Ge 0.0000 0.3930 0.7500
Ge 0.0000 0.6070 0.2500
Ge 0.3930 0.0000 0.7500
Ge 0.3930 0.3930 0.2500
Ge 0.6070 0.0000 0.2500
Ge 0.6070 0.6070 0.7500


Structure and calculated powder diffraction line list of Dy3Ge4 (DFT lattice parameters and positions (GGA-PBE); Cu Kα (λ = 1.5418 Å)).
Kinematic intensities with the Lorentz-polarization factor, no thermal factor.

Largest 12 diffraction maxima, most intense first, 2θ from 10° to 90°:
34.4°, intensity 100
33.4°, intensity 78
30.0°, intensity 43
34.0°, intensity 40
42.1°, intensity 40
44.6°, intensity 34
26.6°, intensity 26
37.6°, intensity 25
24.9°, intensity 24
38.5°, intensity 22
51.2°, intensity 22
75.1°, intensity 19

Cell lengths 5.7328, 5.7328, 14.3495 Å; angles 90.00, 90.00, 138.52 degrees
Positions (direct):
Dy 0.0555 0.9445 0.7500
Dy 0.3383 0.6617 0.5966
Dy 0.3383 0.6617 0.9034
Dy 0.6617 0.3383 0.0966
Dy 0.6617 0.3383 0.4034
Dy 0.9445 0.0555 0.2500
Ge 0.0000 0.0000 0.0000
Ge 0.0000 0.0000 0.5000
Ge 0.2155 0.7845 0.2500
Ge 0.3707 0.6293 0.1094
Ge 0.3707 0.6293 0.3906
Ge 0.6293 0.3707 0.6094
Ge 0.6293 0.3707 0.8906
Ge 0.7845 0.2155 0.7500


Structure and calculated powder diffraction line list of DyGe3 (DFT lattice parameters and positions (GGA-PBE); Cu Kα (λ = 1.5418 Å)).
Kinematic intensities with the Lorentz-polarization factor, no thermal factor.

Largest 12 diffraction maxima, most intense first, 2θ from 10° to 90°:
34.4°, intensity 100
38.6°, intensity 31
45.0°, intensity 19
30.8°, intensity 17
46.3°, intensity 17
24.2°, intensity 13
41.5°, intensity 12
66.5°, intensity 11
57.8°, intensity 9
77.0°, intensity 9
44.3°, intensity 9
78.0°, intensity 8

Cell lengths 4.0311, 20.8947, 3.9251 Å; angles 90.00, 90.00, 90.00 degrees
Positions (direct):
Dy 0.0000 0.0822 0.2500
Dy 0.0000 0.9178 0.7500
Dy 0.5000 0.4178 0.7500
Dy 0.5000 0.5822 0.2500
Ge 0.0000 0.1909 0.7500
Ge 0.0000 0.3107 0.7500
Ge 0.0000 0.4605 0.2500
Ge 0.0000 0.5395 0.7500
Ge 0.0000 0.6893 0.2500
Ge 0.0000 0.8091 0.2500
Ge 0.5000 0.0395 0.7500
Ge 0.5000 0.1893 0.2500
Ge 0.5000 0.3091 0.2500
Ge 0.5000 0.6909 0.7500
Ge 0.5000 0.8107 0.7500
Ge 0.5000 0.9605 0.2500